No. 1
This entry pairs a crystal structure of Li2Hg6Bi3 with its simulated PXRD pattern. Radiation: Cu Kα. Structure: DFT lattice parameters and positions (GGA-PBE).
Neutral-atom scattering factors, no anomalous dispersion.

Structure:
```
data_Li2Hg6Bi3
_chemical_formula_sum 'Li8 Hg24 Bi12'
_cell_length_a 9.107
_cell_length_b 6.378
_cell_length_c 20.289
_cell_angle_alpha 90.00
_cell_angle_beta 99.50
_cell_angle_gamma 90.00
_symmetry_space_group_name_H-M 'C 1 2/c 1'
_symmetry_Int_Tables_number 15
loop_
_symmetry_equiv_pos_as_xyz
'x,y,z'
'-x,-y,-z'
'-x,y,-z+1/2'
'x,-y,z+1/2'
'x+1/2,y+1/2,z'
'-x+1/2,-y+1/2,-z'
'-x+1/2,y+1/2,-z+1/2'
'x+1/2,-y+1/2,z+1/2'
loop_
_atom_site_label
_atom_site_type_symbol
_atom_site_fract_x
_atom_site_fract_y
_atom_site_fract_z
Li1 Li 0.231 0.012 0.006
Hg1 Hg 0.023 0.277 0.549
Hg2 Hg 0.106 0.253 0.396
Hg3 Hg 0.245 0.304 0.123
Bi1 Bi 0.000 0.465 0.250
Bi2 Bi 0.125 0.093 0.704
```

The 10 most intense peaks (5 to 70 degrees two-theta), in order of falling intensity:
2θ 34.32, I = 100, hkl 1 1 -7
2θ 29.41, I = 88, hkl 0 2 2
2θ 33.79, I = 74, hkl 3 1 -3
2θ 28.82, I = 63, hkl 2 0 4
2θ 33.32, I = 46, hkl 0 2 4
2θ 36.53, I = 44, hkl 2 2 2
2θ 34.04, I = 43, hkl 3 1 1
2θ 32.67, I = 40, hkl 3 1 -1
2θ 36.09, I = 39, hkl 2 0 6
2θ 28.34, I = 38, hkl 0 2 1


No. 2
This entry pairs a crystal structure of Li4Hg3Bi3 with its simulated PXRD pattern. Radiation: Cu Kα. Structure: DFT lattice parameters and positions (GGA-PBE).
Neutral-atom scattering factors, no anomalous dispersion.

Structure:
```
data_Li4Hg3Bi3
_chemical_formula_sum 'Li16 Hg12 Bi12'
_cell_length_a 9.994
_cell_length_b 9.994
_cell_length_c 9.994
_cell_angle_alpha 90.00
_cell_angle_beta 90.00
_cell_angle_gamma 90.00
_symmetry_space_group_name_H-M 'I -4 3 d'
_symmetry_Int_Tables_number 220
_symmetry_space_group_name_Hall 'I -4bd 2c 3'
loop_
_atom_site_label
_atom_site_type_symbol
_atom_site_fract_x
_atom_site_fract_y
_atom_site_fract_z
Li1 Li 0.106 0.106 0.106
Hg1 Hg 0.000 0.250 0.875
Bi1 Bi 0.000 0.250 0.375
```

The 10 most intense peaks (5 to 70 degrees two-theta), in order of falling intensity:
2θ 21.78, I = 100, hkl 2 1 1
2θ 40.36, I = 89, hkl 4 2 0
2θ 33.55, I = 76, hkl 3 2 1
2θ 25.20, I = 37, hkl 2 2 0
2θ 49.99, I = 25, hkl 5 2 1
2θ 56.79, I = 24, hkl 6 1 1
2θ 67.60, I = 20, hkl 6 4 0
2θ 42.42, I = 19, hkl 3 3 2
2θ 69.06, I = 18, hkl 5 5 2
2θ 64.61, I = 18, hkl 4 4 4


No. 3
This entry pairs a crystal structure of Li3Hg2Bi3 with its simulated PXRD pattern. Radiation: Cu Kα. Structure: DFT lattice parameters and positions (GGA-PBE).
Neutral-atom scattering factors, no anomalous dispersion.

Structure:
```
data_Li3Hg2Bi3
_chemical_formula_sum 'Li6 Hg4 Bi6'
_cell_length_a 4.293
_cell_length_b 4.752
_cell_length_c 19.067
_cell_angle_alpha 90.00
_cell_angle_beta 90.00
_cell_angle_gamma 90.00
_symmetry_space_group_name_H-M 'I m m m'
_symmetry_Int_Tables_number 71
_symmetry_space_group_name_Hall '-I 2 2'
loop_
_atom_site_label
_atom_site_type_symbol
_atom_site_fract_x
_atom_site_fract_y
_atom_site_fract_z
Li1 Li 0.000 0.000 0.000
Li2 Li 0.000 0.500 0.130
Hg1 Hg 0.000 0.000 0.258
Bi1 Bi 0.000 0.000 0.500
Bi2 Bi 0.000 0.500 0.376
```

The 10 most intense peaks (5 to 70 degrees two-theta), in order of falling intensity:
2θ 33.85, I = 100, hkl 1 1 4
2θ 21.22, I = 38, hkl 1 0 1
2θ 30.05, I = 22, hkl 0 1 5
2θ 57.85, I = 22, hkl 2 2 0
2θ 23.37, I = 21, hkl 0 1 3
2θ 37.87, I = 19, hkl 0 2 0
2θ 37.74, I = 18, hkl 0 0 8
2θ 65.83, I = 15, hkl 1 3 4
2θ 9.28, I = 15, hkl 0 0 2
2θ 42.10, I = 14, hkl 2 0 0


No. 4
This entry pairs a crystal structure of Li4Hg3Bi2 with its simulated PXRD pattern. Radiation: Cu Kα. Structure: DFT lattice parameters and positions (GGA-PBE).
Neutral-atom scattering factors, no anomalous dispersion.

Structure:
```
data_Li4Hg3Bi2
_chemical_formula_sum 'Li4 Hg3 Bi2'
_cell_length_a 4.671
_cell_length_b 4.994
_cell_length_c 9.957
_cell_angle_alpha 97.68
_cell_angle_beta 96.57
_cell_angle_gamma 117.12
_symmetry_space_group_name_H-M 'P -1'
_symmetry_Int_Tables_number 2
loop_
_symmetry_equiv_pos_as_xyz
'x,y,z'
'-x,-y,-z'
loop_
_atom_site_label
_atom_site_type_symbol
_atom_site_fract_x
_atom_site_fract_y
_atom_site_fract_z
Li1 Li 0.115 0.048 0.314
Li2 Li 0.372 0.679 0.100
Hg1 Hg 0.000 0.000 0.000
Hg2 Hg 0.477 0.728 0.411
Bi1 Bi 0.249 0.635 0.787
```

The 10 most intense peaks (5 to 70 degrees two-theta), in order of falling intensity:
2θ 24.50, I = 100, hkl 0 1 -2
2θ 25.35, I = 90, hkl 1 0 1
2θ 28.47, I = 76, hkl -1 1 2
2θ 35.41, I = 54, hkl 1 -1 3
2θ 36.38, I = 49, hkl 1 -2 0
2θ 38.10, I = 42, hkl 0 1 3
2θ 44.66, I = 36, hkl 0 2 1
2θ 45.11, I = 33, hkl 2 -2 1
2θ 38.85, I = 33, hkl -2 1 1
2θ 35.67, I = 21, hkl 1 1 -1


No. 5
This entry pairs a crystal structure of Li8HgBi5 with its simulated PXRD pattern. Radiation: Cu Kα. Structure: DFT lattice parameters and positions (GGA-PBE).
Neutral-atom scattering factors, no anomalous dispersion.

Structure:
```
data_Li8HgBi5
_chemical_formula_sum 'Li16 Hg2 Bi10'
_cell_length_a 10.864
_cell_length_b 9.652
_cell_length_c 8.010
_cell_angle_alpha 90.00
_cell_angle_beta 130.52
_cell_angle_gamma 90.00
_symmetry_space_group_name_H-M 'C 1 2 1'
_symmetry_Int_Tables_number 5
loop_
_symmetry_equiv_pos_as_xyz
'x,y,z'
'-x,y,-z'
'x+1/2,y+1/2,z'
'-x+1/2,y+1/2,-z'
loop_
_atom_site_label
_atom_site_type_symbol
_atom_site_fract_x
_atom_site_fract_y
_atom_site_fract_z
Li1 Li 0.062 0.000 0.244
Li2 Li 0.087 0.594 0.412
Li3 Li 0.201 0.391 0.823
Li4 Li 0.207 0.491 0.189
Hg1 Hg 0.000 0.879 0.500
Bi1 Bi 0.000 0.735 0.000
Bi2 Bi 0.139 0.284 0.429
Bi3 Bi 0.228 0.182 0.100
```

The 10 most intense peaks (5 to 70 degrees two-theta), in order of falling intensity:
2θ 27.57, I = 100, hkl 3 1 -2
2θ 18.38, I = 73, hkl 0 2 0
2θ 23.52, I = 51, hkl 0 2 1
2θ 24.90, I = 42, hkl 1 1 1
2θ 33.86, I = 38, hkl 3 1 0
2θ 37.97, I = 26, hkl 3 3 -1
2θ 36.39, I = 23, hkl 1 3 1
2θ 29.33, I = 22, hkl 0 0 2
2θ 39.19, I = 21, hkl 2 2 -3
2θ 40.93, I = 15, hkl 2 4 -1


No. 6
This entry pairs a crystal structure of LiHg12Bi6 with its simulated PXRD pattern. Radiation: Cu Kα. Structure: DFT lattice parameters and positions (GGA-PBE).
Neutral-atom scattering factors, no anomalous dispersion.

Structure:
```
data_LiHg12Bi6
_chemical_formula_sum 'Li1 Hg12 Bi6'
_cell_length_a 6.686
_cell_length_b 8.898
_cell_length_c 11.117
_cell_angle_alpha 68.38
_cell_angle_beta 82.90
_cell_angle_gamma 68.31
_symmetry_space_group_name_H-M 'P -1'
_symmetry_Int_Tables_number 2
loop_
_symmetry_equiv_pos_as_xyz
'x,y,z'
'-x,-y,-z'
loop_
_atom_site_label
_atom_site_type_symbol
_atom_site_fract_x
_atom_site_fract_y
_atom_site_fract_z
Li1 Li 0.000 0.000 0.000
Hg1 Hg 0.017 0.216 0.300
Hg2 Hg 0.119 0.286 0.559
Hg3 Hg 0.212 0.845 0.244
Hg4 Hg 0.315 0.423 0.263
Hg5 Hg 0.342 0.898 0.508
Hg6 Hg 0.359 0.483 0.627
Bi1 Bi 0.214 0.651 0.966
Bi2 Bi 0.265 0.252 0.937
Bi3 Bi 0.408 0.945 0.827
```

The 10 most intense peaks (5 to 70 degrees two-theta), in order of falling intensity:
2θ 29.41, I = 100, hkl 2 1 -1
2θ 29.84, I = 96, hkl 1 0 3
2θ 30.72, I = 78, hkl 1 3 2
2θ 31.21, I = 67, hkl 1 -2 0
2θ 30.16, I = 56, hkl -1 1 3
2θ 33.25, I = 54, hkl 2 2 -1
2θ 34.98, I = 45, hkl 2 1 3
2θ 30.04, I = 43, hkl 2 1 2
2θ 31.92, I = 41, hkl 0 1 -3
2θ 34.67, I = 38, hkl 1 -2 1